The following is a simulated X-ray powder pattern of HoAlFe. It was derived from a PBE-relaxed structure, using λ = 1.5418 Å (Cu Kα).
Neutral-atom scattering factors, no anomalous dispersion.

Top 10 peaks for 10° ≤ 2θ ≤ 90°, by angle:
d = 4.676 Å, 18.98°, rel. 23
d = 4.284 Å, 20.73°, rel. 31
d = 4.104 Å, 21.65°, rel. 24
d = 2.704 Å, 33.13°, rel. 73
d = 2.694 Å, 33.26°, rel. 30
d = 2.438 Å, 36.87°, rel. 100
d = 2.287 Å, 39.40°, rel. 76
d = 2.280 Å, 39.52°, rel. 45
d = 2.254 Å, 40.01°, rel. 27
d = 1.505 Å, 61.65°, rel. 32

Crystal structure
a = 8.569 Å, b = 5.409 Å, c = 5.409 Å
α = 59.74°, β = 90.00°, γ = 90.00°
Fractional coordinates of all 12 atoms:
1 Ho 0.185 0.000 0.000
2 Ho 0.301 0.670 0.670
3 Ho 0.699 0.670 0.670
4 Ho 0.815 0.000 0.000
5 Al 0.000 0.497 0.497
6 Al 0.500 0.169 0.169
7 Al 0.500 0.170 0.659
8 Al 0.500 0.659 0.170
9 Fe 0.000 0.007 0.501
10 Fe 0.000 0.501 0.007
11 Fe 0.237 0.326 0.326
12 Fe 0.763 0.326 0.326